Entry 1:
Simulated PXRD pattern
Compound: ErH2F5
Radiation: Cu Kα (weighted mean of Kα1 and Kα2)
Structure: the PBE geometry in Alexandria
Intensities are scaled so that the largest is 100.

Atomic structure:
a b c (Å): 6.477 6.477 4.427
angles (deg): 90.00 90.00 90.00
Element x y z (fractional)
1 Er 0.000 0.000 0.000
2 Er 0.500 0.500 0.500
3 H 0.000 0.500 0.000
4 H 0.000 0.500 0.500
5 H 0.500 0.000 0.000
6 H 0.500 0.000 0.500
7 F 0.000 0.000 0.500
8 F 0.054 0.670 0.000
9 F 0.170 0.446 0.500
10 F 0.330 0.054 0.000
11 F 0.446 0.830 0.500
12 F 0.500 0.500 0.000
13 F 0.554 0.170 0.500
14 F 0.670 0.946 0.000
15 F 0.830 0.554 0.500
16 F 0.946 0.330 0.000

Peak list (12 most intense, 2θ from 10° to 90°, low angle first)
2θ (°)  I/Imax
19.38  66
24.35  100
27.54  55
37.09  34
39.35  13
40.77  17
44.22  34
45.51  16
46.82  27
49.91  20
55.18  22
61.70  24



Entry 2:
Simulated PXRD pattern
Compound: Tb2Al2Zn15
Radiation: Cu Kα (weighted mean of Kα1 and Kα2)
Structure: the PBE geometry in Alexandria
Intensities are scaled so that the largest is 100.

Atomic structure:
a b c (Å): 6.804 6.804 6.804
angles (deg): 83.16 83.16 83.16
Element x y z (fractional)
1 Tb 0.164 0.164 0.164
2 Tb 0.836 0.836 0.836
3 Al 0.400 0.400 0.400
4 Al 0.600 0.600 0.600
5 Zn 0.000 0.500 0.500
6 Zn 0.148 0.148 0.664
7 Zn 0.148 0.664 0.148
8 Zn 0.199 0.500 0.801
9 Zn 0.199 0.801 0.500
10 Zn 0.336 0.852 0.852
11 Zn 0.500 0.000 0.500
12 Zn 0.500 0.199 0.801
13 Zn 0.500 0.500 0.000
14 Zn 0.500 0.801 0.199
15 Zn 0.664 0.148 0.148
16 Zn 0.801 0.199 0.500
17 Zn 0.801 0.500 0.199
18 Zn 0.852 0.336 0.852
19 Zn 0.852 0.852 0.336

Peak list (12 most intense, 2θ from 10° to 90°, low angle first)
2θ (°)  I/Imax
28.42  29
34.40  28
35.74  15
39.93  43
40.28  100
41.31  33
45.20  24
58.80  18
65.60  18
72.52  16
74.62  16
87.04  15



Entry 3:
Simulated PXRD pattern
Compound: TbPdRhAu
Radiation: Cu Kα (weighted mean of Kα1 and Kα2)
Structure: the PBE geometry in Alexandria
Intensities are scaled so that the largest is 100.

Atomic structure:
a b c (Å): 3.941 4.223 4.304
angles (deg): 90.00 90.00 90.00
Element x y z (fractional)
1 Tb 0.000 0.000 0.000
2 Pd 0.500 0.000 0.500
3 Rh 0.500 0.500 0.000
4 Au 0.000 0.500 0.500

Peak list (12 most intense, 2θ from 10° to 90°, low angle first)
2θ (°)  I/Imax
29.64  6
37.57  100
41.99  18
42.83  17
46.07  14
61.53  12
64.08  10
64.71  10
73.79  14
74.97  13
79.62  11
80.19  11



Entry 4:
Simulated PXRD pattern
Compound: ZnSi3
Radiation: Cu Kα (weighted mean of Kα1 and Kα2)
Structure: the PBE geometry in Alexandria
Intensities are scaled so that the largest is 100.

Atomic structure:
a b c (Å): 2.530 4.584 5.310
angles (deg): 90.00 90.76 90.00
Element x y z (fractional)
1 Zn 0.000 0.000 0.000
2 Si 0.000 0.000 0.500
3 Si 0.004 0.500 0.753
4 Si 0.996 0.500 0.247

Peak list (12 most intense, 2θ from 10° to 90°, low angle first)
2θ (°)  I/Imax
16.70  20
19.36  14
25.67  14
35.48  44
39.25  100
53.57  25
53.98  25
54.24  24
71.20  11
81.88  7
82.45  11
84.31  7



Entry 5:
Simulated PXRD pattern
Compound: Ac3Al2Pd7
Radiation: Cu Kα (weighted mean of Kα1 and Kα2)
Structure: the PBE geometry in Alexandria
Intensities are scaled so that the largest is 100.

Atomic structure:
a b c (Å): 4.366 4.279 14.048
angles (deg): 90.00 98.90 90.00
Element x y z (fractional)
1 Ac 0.000 0.000 0.000
2 Ac 0.318 0.500 0.636
3 Ac 0.682 0.500 0.364
4 Al 0.129 0.000 0.257
5 Al 0.871 0.000 0.743
6 Pd 0.084 0.500 0.164
7 Pd 0.219 0.000 0.438
8 Pd 0.417 0.000 0.836
9 Pd 0.500 0.500 0.000
10 Pd 0.583 0.000 0.164
11 Pd 0.781 0.000 0.562
12 Pd 0.916 0.500 0.836

Peak list (12 most intense, 2θ from 10° to 90°, low angle first)
2θ (°)  I/Imax
22.52  12
32.25  11
33.24  12
33.47  100
35.64  12
37.14  12
41.35  27
42.24  20
54.09  11
60.59  18
64.73  11
71.65  12



Entry 6:
Simulated PXRD pattern
Compound: Pm2Y4Tl3H2
Radiation: Cu Kα (weighted mean of Kα1 and Kα2)
Structure: the PBE geometry in Alexandria
Intensities are scaled so that the largest is 100.

Atomic structure:
a b c (Å): 12.787 12.787 12.787
angles (deg): 158.36 158.36 30.79
Element x y z (fractional)
1 Pm 0.197 0.197 0.000
2 Pm 0.803 0.803 0.000
3 Y 0.083 0.583 0.500
4 Y 0.417 0.917 0.500
5 Y 0.583 0.083 0.500
6 Y 0.917 0.417 0.500
7 Tl 0.329 0.329 0.000
8 Tl 0.500 0.500 0.000
9 Tl 0.671 0.671 0.000
10 H 0.099 0.099 0.000
11 H 0.901 0.901 0.000

Peak list (12 most intense, 2θ from 10° to 90°, low angle first)
2θ (°)  I/Imax
18.83  31
26.25  24
27.25  30
28.97  9
30.05  10
31.50  31
34.26  100
37.46  54
49.73  18
54.02  19
59.18  11
65.55  30



Entry 7:
Simulated PXRD pattern
Compound: Tl12InSn2
Radiation: Cu Kα (weighted mean of Kα1 and Kα2)
Structure: the PBE geometry in Alexandria
Intensities are scaled so that the largest is 100.

Atomic structure:
a b c (Å): 6.526 6.526 24.263
angles (deg): 90.00 90.00 90.00
Element x y z (fractional)
1 Tl 0.001 0.501 0.099
2 Tl 0.001 0.999 0.901
3 Tl 0.075 0.575 0.561
4 Tl 0.075 0.925 0.439
5 Tl 0.250 0.250 0.211
6 Tl 0.250 0.250 0.342
7 Tl 0.250 0.250 0.658
8 Tl 0.250 0.250 0.789
9 Tl 0.425 0.575 0.439
10 Tl 0.425 0.925 0.561
11 Tl 0.499 0.501 0.901
12 Tl 0.499 0.999 0.099
13 Tl 0.501 0.001 0.901
14 Tl 0.501 0.499 0.099
15 Tl 0.575 0.075 0.439
16 Tl 0.575 0.425 0.561
17 Tl 0.750 0.750 0.211
18 Tl 0.750 0.750 0.342
19 Tl 0.750 0.750 0.658
20 Tl 0.750 0.750 0.789
21 Tl 0.925 0.075 0.561
22 Tl 0.925 0.425 0.439
23 Tl 0.999 0.001 0.099
24 Tl 0.999 0.499 0.901
25 In 0.250 0.750 0.000
26 In 0.750 0.250 0.000
27 Sn 0.250 0.750 0.202
28 Sn 0.250 0.750 0.798
29 Sn 0.750 0.250 0.202
30 Sn 0.750 0.250 0.798

Peak list (12 most intense, 2θ from 10° to 90°, low angle first)
2θ (°)  I/Imax
10.94  40
20.59  46
28.32  100
31.12  33
33.08  76
33.23  60
34.09  30
35.35  90
37.87  29
39.04  76
52.18  42
64.26  35



Entry 8:
Simulated PXRD pattern
Compound: Cd2Cu2PtO6
Radiation: Cu Kα (weighted mean of Kα1 and Kα2)
Structure: the PBE geometry in Alexandria
Intensities are scaled so that the largest is 100.

Atomic structure:
a b c (Å): 5.342 5.342 5.434
angles (deg): 90.00 90.00 120.00
Element x y z (fractional)
1 Cd 0.333 0.667 0.000
2 Cd 0.667 0.333 0.000
3 Cu 0.333 0.667 0.500
4 Cu 0.667 0.333 0.500
5 Pt 0.000 0.000 0.500
6 O 0.000 0.327 0.297
7 O 0.000 0.673 0.703
8 O 0.327 0.000 0.297
9 O 0.327 0.327 0.703
10 O 0.673 0.000 0.703
11 O 0.673 0.673 0.297

Peak list (12 most intense, 2θ from 10° to 90°, low angle first)
2θ (°)  I/Imax
16.31  13
25.28  88
32.96  30
33.55  99
42.48  22
47.75  100
55.18  21
59.99  28
70.18  21
70.52  11
79.08  18
80.07  20



Entry 9:
Simulated PXRD pattern
Compound: MoBr
Radiation: Cu Kα (weighted mean of Kα1 and Kα2)
Structure: the PBE geometry in Alexandria
Intensities are scaled so that the largest is 100.

Atomic structure:
a b c (Å): 3.292 3.292 9.522
angles (deg): 90.00 90.00 120.00
Element x y z (fractional)
1 Mo 0.333 0.667 0.094
2 Mo 0.667 0.333 0.906
3 Br 0.333 0.667 0.704
4 Br 0.667 0.333 0.296

Peak list (12 most intense, 2θ from 10° to 90°, low angle first)
2θ (°)  I/Imax
31.38  45
32.79  13
36.74  100
42.63  79
47.76  17
55.86  33
58.26  14
68.74  15
72.72  16
76.50  26
77.80  8
89.16  11



Entry 10:
Simulated PXRD pattern
Compound: SnGeSb
Radiation: Cu Kα (weighted mean of Kα1 and Kα2)
Structure: the PBE geometry in Alexandria
Intensities are scaled so that the largest is 100.

Atomic structure:
a b c (Å): 10.429 6.395 5.151
angles (deg): 90.00 119.20 90.00
Element x y z (fractional)
1 Sn 0.250 0.250 0.000
2 Sn 0.250 0.750 0.000
3 Sn 0.750 0.250 0.000
4 Sn 0.750 0.750 0.000
5 Ge 0.061 0.000 0.311
6 Ge 0.439 0.500 0.689
7 Ge 0.561 0.500 0.311
8 Ge 0.939 0.000 0.689
9 Sb 0.107 0.500 0.358
10 Sb 0.393 0.000 0.642
11 Sb 0.607 0.000 0.358
12 Sb 0.893 0.500 0.642

Peak list (12 most intense, 2θ from 10° to 90°, low angle first)
2θ (°)  I/Imax
34.23  60
34.44  100
34.84  33
49.14  13
49.57  10
49.78  10
61.44  11
61.86  12
62.30  12
68.77  8
68.90  8
69.16  9



Entry 11:
Simulated PXRD pattern
Compound: Pm2Si2Rh5
Radiation: Cu Kα (weighted mean of Kα1 and Kα2)
Structure: the PBE geometry in Alexandria
Intensities are scaled so that the largest is 100.

Atomic structure:
a b c (Å): 4.170 4.170 8.943
angles (deg): 90.00 90.00 90.00
Element x y z (fractional)
1 Pm 0.000 0.000 0.000
2 Pm 0.000 0.000 0.500
3 Si 0.500 0.500 0.142
4 Si 0.500 0.500 0.858
5 Rh 0.000 0.500 0.263
6 Rh 0.000 0.500 0.737
7 Rh 0.500 0.000 0.263
8 Rh 0.500 0.000 0.737
9 Rh 0.500 0.500 0.500

Peak list (12 most intense, 2θ from 10° to 90°, low angle first)
2θ (°)  I/Imax
21.31  5
29.29  11
36.50  100
40.34  16
43.15  6
43.40  36
46.07  5
60.74  19
63.06  12
70.84  14
75.11  24
77.57  9



Entry 12:
Simulated PXRD pattern
Compound: CsTl6S4
Radiation: Cu Kα (weighted mean of Kα1 and Kα2)
Structure: the PBE geometry in Alexandria
Intensities are scaled so that the largest is 100.

Atomic structure:
a b c (Å): 9.157 9.157 4.614
angles (deg): 90.00 90.00 120.00
Element x y z (fractional)
1 Cs 0.000 0.000 0.000
2 Tl 0.197 0.395 0.500
3 Tl 0.197 0.803 0.500
4 Tl 0.543 0.086 0.000
5 Tl 0.543 0.457 0.000
6 Tl 0.605 0.803 0.500
7 Tl 0.914 0.457 0.000
8 S 0.333 0.667 0.000
9 S 0.341 0.170 0.500
10 S 0.830 0.170 0.500
11 S 0.830 0.659 0.500

Peak list (12 most intense, 2θ from 10° to 90°, low angle first)
2θ (°)  I/Imax
22.29  32
22.42  16
29.73  100
33.91  31
35.72  30
39.05  16
39.35  15
45.70  10
52.66  18
54.19  22
61.86  11
88.97  13